Entry 1:
LiV2C4O12: calculated PXRD pattern (copper Kα), based on the GGA+U geometry in the Materials Project.
Kinematic intensities with the Lorentz-polarization factor, no thermal factor.

Most intense lines, 2θ from 5° to 70°, by angle:
Position (°2θ)	intensity	index
18.8	100	0 2 1
22.6	24	2 0 0
23.3	23	2 0 -2
32.1	36	0 4 1
37.7	25	2 4 0
41.4	22	2 0 -4

Unit cell a=9.0178 b=11.9954 c=8.7298 alpha=90.00 beta=119.16 gamma=90.00
Space group Cc (No. 9)
Asymmetric unit:
Li  0.0000  0.1264  0.0000
V  0.2488  0.3774  0.9997
V  0.2532  0.1275  0.4991
C  0.1179  0.1938  0.7425
C  0.1193  0.3039  0.2404
C  0.3824  0.4467  0.7607
C  0.3833  0.0564  0.2536
O  0.0315  0.0363  0.3942
O  0.0345  0.4428  0.8931
O  0.1385  0.2305  0.8929
O  0.1394  0.2710  0.3891
O  0.2411  0.1614  0.7238
O  0.2447  0.3498  0.2303
O  0.2558  0.0944  0.2644
O  0.2614  0.4045  0.7773
O  0.3555  0.4767  0.6040
O  0.3706  0.0154  0.1126
O  0.4623  0.3076  0.1118
O  0.4754  0.2127  0.5982

=====

Entry 2:
FeSO8: calculated PXRD pattern (copper Kα), based on the GGA+U geometry in the Materials Project.
Kinematic intensities with the Lorentz-polarization factor, no thermal factor.

Most intense lines, 2θ from 5° to 70°, by angle:
Position (°2θ)	intensity	index
13.3	52	0 2 0
16.7	100	1 1 -1
20.1	34	1 1 0
20.4	87	1 2 -1
23.0	67	0 0 2
26.8	35	0 4 0

Unit cell a=5.7718 b=13.3157 c=9.5519 alpha=90.00 beta=125.82 gamma=90.00
Space group P2_1/c (No. 14)
Asymmetric unit:
Fe  0.2065  0.0987  0.2819
S  0.4742  0.1060  0.6770
O  0.1119  0.2257  0.2629
O  0.1709  0.1322  0.0927
O  0.1822  0.5837  0.3524
O  0.2416  0.0707  0.4932
O  0.2583  0.5446  0.7600
O  0.3706  0.0857  0.7813
O  0.4234  0.6357  0.1063
O  0.4473  0.7109  0.8195

=====

Entry 3:
Li9Mn2Co5O16: calculated PXRD pattern (copper Kα), based on the GGA+U geometry in the Materials Project.
Kinematic intensities with the Lorentz-polarization factor, no thermal factor.

Most intense lines, 2θ from 5° to 70°, by angle:
Position (°2θ)	intensity	index
18.3	100	2 0 0
35.6	15	0 0 4
36.1	26	1 1 -2
43.1	27	2 0 4
43.7	54	3 1 -2
62.8	22	5 1 2

Unit cell a=9.8521 b=2.9037 c=10.2294 alpha=90.00 beta=99.66 gamma=90.00
Space group Pm (No. 6)
Asymmetric unit:
Li  0.0000  0.0000  0.0000
Li  0.0014  0.5000  0.7489
Li  0.0040  0.0000  0.4951
Li  0.5083  0.5000  0.5012
Li  0.5160  0.0000  0.2538
Li  0.5225  0.0000  0.7505
Li  0.5287  0.5000  0.0075
Li  0.7565  0.0000  0.1255
Li  0.9960  0.5000  0.2401
Mn  0.2581  0.0000  0.8729
Mn  0.7552  0.5000  0.3670
Co  0.2593  0.0000  0.3768
Co  0.2593  0.5000  0.1276
Co  0.2602  0.5000  0.6189
Co  0.7582  0.0000  0.6298
Co  0.7677  0.5000  0.8956
O  0.1401  0.5000  0.4350
O  0.1477  0.5000  0.9258
O  0.1497  0.0000  0.1830
O  0.1498  0.0000  0.6966
O  0.3611  0.0000  0.0566
O  0.3702  0.5000  0.8228
O  0.3735  0.5000  0.3165
O  0.3771  0.0000  0.5644
O  0.6412  0.5000  0.2039
O  0.6427  0.0000  0.9317
O  0.6441  0.5000  0.6826
O  0.6492  0.0000  0.4332
O  0.8692  0.0000  0.3195
O  0.8688  0.5000  0.5553
O  0.8725  0.0000  0.8103
O  0.8839  0.5000  0.0525

=====

Entry 4:
Nb12WO33: calculated PXRD pattern (copper Kα), based on the GGA+U geometry in the Materials Project.
Kinematic intensities with the Lorentz-polarization factor, no thermal factor.

Most intense lines, 2θ from 5° to 70°, by angle:
Position (°2θ)	intensity	index
5.8	27	0 0 1
7.8	25	0 1 0
23.5	65	1 0 1
24.1	97	0 1 4
24.8	100	0 3 -1
34.8	35	0 2 -5

Unit cell a=3.8732 b=11.5627 c=15.3510 alpha=83.63 beta=82.78 gamma=80.45
Space group P1 (No. 1)
Asymmetric unit:
Nb  0.0000  0.0000  0.0000
Nb  0.0238  0.2377  0.6681
Nb  0.0899  0.4727  0.3339
Nb  0.1638  0.9085  0.7603
Nb  0.2178  0.1447  0.4254
Nb  0.3415  0.8151  0.5205
Nb  0.6014  0.7522  0.0549
Nb  0.7127  0.4223  0.1494
Nb  0.7612  0.6591  0.8150
Nb  0.8282  0.0943  0.2416
Nb  0.8867  0.3287  0.9060
Nb  0.9314  0.5676  0.5757
W  0.2178  0.7835  0.2878
O  0.0104  0.5285  0.4434
O  0.0319  0.6532  0.2758
O  0.0723  0.8035  0.0541
O  0.0860  0.9475  0.8826
O  0.1116  0.0626  0.7105
O  0.1420  0.1859  0.5379
O  0.1624  0.3094  0.3697
O  0.1880  0.4368  0.1834
O  0.2403  0.7075  0.8074
O  0.2587  0.8485  0.6373
O  0.2886  0.9680  0.4664
O  0.3146  0.0903  0.2790
O  0.3766  0.3329  0.9138
O  0.4162  0.6114  0.5586
O  0.4324  0.7554  0.3879
O  0.5033  0.8113  0.1876
O  0.5149  0.9560  0.0166
O  0.5521  0.2359  0.6597
O  0.6118  0.4759  0.2967
O  0.6451  0.5993  0.1086
O  0.6685  0.7185  0.9379
O  0.6850  0.8604  0.7678
O  0.7409  0.1305  0.3915
O  0.7662  0.2571  0.2054
O  0.7915  0.3813  0.0370
O  0.8169  0.5039  0.8625
O  0.8394  0.6223  0.6921
O  0.8617  0.7639  0.5210
O  0.8876  0.9136  0.3001
O  0.9177  0.0375  0.1325
O  0.9371  0.1595  0.9640
O  0.9670  0.2798  0.7883
O  0.9920  0.4085  0.6135

=====

Entry 5:
K2AlFeB2P4H2O18: calculated PXRD pattern (copper Kα), based on the GGA+U geometry in the Materials Project.
Kinematic intensities with the Lorentz-polarization factor, no thermal factor.

Most intense lines, 2θ from 5° to 70°, by angle:
Position (°2θ)	intensity	index
14.8	67	0 1 1
21.6	67	0 0 2
27.3	66	1 2 0
27.8	58	1 2 1
28.7	100	1 -2 0
35.2	38	1 -2 2

Unit cell a=5.1690 b=8.2063 c=8.3445 alpha=86.31 beta=80.68 gamma=86.52
Space group P1 (No. 1)
Asymmetric unit:
K  0.0000  0.0000  0.0000
K  0.4471  0.6539  0.2344
Al  0.4554  0.1309  0.3095
Fe  0.9907  0.5217  0.9278
B  0.6008  0.0608  0.6704
B  0.8466  0.5964  0.5613
P  0.5023  0.2629  0.9342
P  0.5234  0.7461  0.8140
P  0.9249  0.9161  0.4185
P  0.9378  0.3822  0.3072
H  0.1750  0.4672  0.6247
H  0.2739  0.1855  0.6022
O  0.0176  0.5260  0.6764
O  0.1802  0.9801  0.3242
O  0.2111  0.3159  0.3407
O  0.2274  0.3186  0.8942
O  0.2739  0.6822  0.9153
O  0.4378  0.1339  0.5503
O  0.4506  0.9295  0.7689
O  0.4755  0.1335  0.0787
O  0.5952  0.6558  0.6518
O  0.6591  0.4060  0.9647
O  0.6629  0.1794  0.7813
O  0.6935  0.9370  0.3224
O  0.7536  0.7334  0.9106
O  0.7619  0.2501  0.2761
O  0.7841  0.4711  0.4590
O  0.8545  0.0011  0.5840
O  0.9742  0.5169  0.1673
O  0.9871  0.7294  0.4566

=====

Entry 6:
Li9Mn2Co5O16: calculated PXRD pattern (copper Kα), based on the GGA+U geometry in the Materials Project.
Kinematic intensities with the Lorentz-polarization factor, no thermal factor.

Most intense lines, 2θ from 5° to 70°, by angle:
Position (°2θ)	intensity	index
18.3	100	0 2 1
34.3	19	1 1 -1
36.1	13	1 -1 2
41.2	34	1 3 0
43.9	27	1 -3 1
44.9	25	0 2 5

Unit cell a=3.0239 b=9.9165 c=10.2582 alpha=73.35 beta=82.67 gamma=87.13
Space group P1 (No. 1)
Asymmetric unit:
Li  0.0000  0.0000  0.0000
Li  0.0556  0.3090  0.8754
Li  0.1152  0.6205  0.7466
Li  0.2384  0.2475  0.5006
Li  0.3722  0.8744  0.2489
Li  0.4922  0.4901  0.9990
Li  0.6175  0.1298  0.7530
Li  0.7412  0.7481  0.4991
Li  0.8694  0.3690  0.2464
Mn  0.1706  0.9396  0.6207
Mn  0.3129  0.5583  0.3773
Co  0.4402  0.1891  0.1151
Co  0.5483  0.8101  0.8746
Co  0.6667  0.4278  0.6358
Co  0.8068  0.0608  0.3699
Co  0.9381  0.6834  0.1230
O  0.0318  0.6605  0.9416
O  0.0624  0.9603  0.8071
O  0.1208  0.2903  0.6827
O  0.2364  0.9129  0.4371
O  0.2372  0.5811  0.5598
O  0.3776  0.2067  0.2996
O  0.4238  0.5360  0.1926
O  0.4542  0.8309  0.0561
O  0.5145  0.1526  0.9578
O  0.5994  0.4651  0.7925
O  0.6020  0.7865  0.6918
O  0.7412  0.0888  0.5494
O  0.7429  0.4087  0.4504
O  0.8793  0.0403  0.1909
O  0.8810  0.7107  0.3058
O  0.9958  0.3284  0.0667

=====

Which formula does entry 1 have?
LiV2C4O12